Record 1
# Pu3Pa4Te8
Computed XRD peak list, Cu Kα (weighted mean of Kα1 and Kα2). Input: a PBE-relaxed structure.

Structure:
```
data_Pu3Pa4Te8
_symmetry_space_group_name_H-M 'P -1'
_symmetry_Int_Tables_number 2
_cell_length_a 8.588
_cell_length_b 8.600
_cell_length_c 8.793
_cell_angle_alpha 90.12
_cell_angle_beta 119.11
_cell_angle_gamma 119.89
loop_
_symmetry_equiv_pos_as_xyz
'x,y,z'
'-x,-y,-z'
loop_
_atom_site_label
_atom_site_type_symbol
_atom_site_fract_x
_atom_site_fract_y
_atom_site_fract_z
Pu1 Pu 0.000 0.000 0.000
Pu2 Pu 0.000 0.000 0.500
Pu3 Pu 0.000 0.500 0.000
Pa1 Pa 0.000 0.500 0.500
Pa2 Pa 0.500 0.000 0.500
Pa3 Pa 0.500 0.500 0.000
Pa4 Pa 0.500 0.500 0.500
Te1 Te 0.001 0.250 0.751
Te2 Te 0.013 0.756 0.756
Te3 Te 0.499 0.242 0.758
Te4 Te 0.500 0.241 0.240
```

Most intense lines, 10° ≤ 2θ ≤ 80°, low angle first:
2theta	I_rel	h k l
25.27	8	2 0 -2
29.04	100	2 0 0
41.03	40	0 2 2
42.00	25	2 2 -2
42.09	12	-4 2 2
51.94	13	4 0 -4
60.13	9	4 0 0
67.41	9	2 2 2
68.83	9	4 2 -2
76.11	9	6 -4 0

Record 2
# Na3Tl5Hg
Computed XRD peak list, Cu Kα (weighted mean of Kα1 and Kα2). Input: a PBE-relaxed structure.

Structure:
```
data_Na3Tl5Hg
_symmetry_space_group_name_H-M 'P -6 2 m'
_symmetry_Int_Tables_number 189
_symmetry_space_group_name_Hall 'P -6 -2'
_cell_length_a 9.2168
_cell_length_b 9.2168
_cell_length_c 3.4789
_cell_angle_alpha 90.00
_cell_angle_beta 90.00
_cell_angle_gamma 120.00
loop_
_atom_site_label
_atom_site_type_symbol
_atom_site_fract_x
_atom_site_fract_y
_atom_site_fract_z
Na1 Na 0.0000 0.6439 0.0000
Tl1 Tl 0.0000 0.2999 0.5000
Tl2 Tl 0.3333 0.6667 0.5000
Hg1 Hg 0.0000 0.0000 0.0000
```

Most intense lines, 10° ≤ 2θ ≤ 80°, low angle first:
2theta	I_rel	h k l
19.26	73	1 1 0
25.61	25	0 0 1
27.98	23	1 0 1
32.24	50	1 1 1
33.69	100	3 0 0
34.19	39	2 0 1
39.54	45	2 1 1
42.79	31	3 0 1
56.82	28	3 2 1
63.94	32	3 0 2

Record 3
# Ba2LiN
Computed XRD peak list, Cu Kα (weighted mean of Kα1 and Kα2). Input: a PBE-relaxed structure.

Structure:
```
data_Ba2LiN
_symmetry_space_group_name_H-M 'P 42/n m c'
_symmetry_Int_Tables_number 137
_cell_length_a 8.193
_cell_length_b 8.193
_cell_length_c 15.997
_cell_angle_alpha 90.00
_cell_angle_beta 90.00
_cell_angle_gamma 90.00
loop_
_symmetry_equiv_pos_as_xyz
'x,y,z'
'-x,-y,-z'
'-y+1/2,x,z+1/2'
'y+1/2,-x,-z+1/2'
'-x+1/2,-y+1/2,z'
'x+1/2,y+1/2,-z'
'y,-x+1/2,z+1/2'
'-y,x+1/2,-z+1/2'
'x+1/2,-y,-z'
'-x+1/2,y,z'
'-y,-x,-z+1/2'
'y,x,z+1/2'
'-x,y+1/2,-z'
'x,-y+1/2,z'
'y+1/2,x+1/2,-z+1/2'
'-y+1/2,-x+1/2,z+1/2'
loop_
_atom_site_label
_atom_site_type_symbol
_atom_site_fract_x
_atom_site_fract_y
_atom_site_fract_z
Ba1 Ba 0.017 0.750 0.164
Ba2 Ba 0.028 0.250 0.139
Li1 Li 0.021 0.750 0.464
N1 N 0.004 0.250 0.662
```

Most intense lines, 10° ≤ 2θ ≤ 80°, low angle first:
2theta	I_rel	h k l
11.06	29	0 0 2
22.23	32	0 0 4
22.40	57	2 0 1
27.46	100	2 0 3
30.87	51	2 2 0
38.37	28	2 2 4
45.45	18	2 0 7
46.28	19	2 2 6
50.08	23	4 0 4
52.84	27	4 2 3